For SrSnHg, a DFT-relaxed cell (PBE, Alexandria) gives the simulated XRD peak list in this record (Cu Kα).
Neutral-atom scattering factors, no anomalous dispersion.

Structural model:
Cell: 5.3131 8.4217 8.0719 Å, 90.00 90.00 90.00°
Space group Ima2 (No. 46)
Unique sites:
Sr (0.2500, 0.2129, 0.0000) [4 per cell]
Sn (0.2500, 0.5839, 0.2020) [4 per cell]
Hg (0.2500, 0.5776, 0.8042) [4 per cell]

The 10 most intense peaks (2θ = 5–70°), by angle:
hkl, Position (°2θ), intensity
0 1 1, 15.20, 48
0 0 2, 22.02, 35
1 2 1, 29.24, 44
1 1 2, 29.75, 98
0 2 2, 30.68, 49
2 0 0, 33.74, 71
0 1 3, 35.01, 47
1 3 0, 36.19, 100
2 1 3, 49.41, 36
1 4 3, 58.29, 33